[1]
TmRuO4: computed X-ray powder pattern (Cu Ka), based on DFT lattice parameters and positions (GGA-PBE).

Crystal structure
```
24
Lattice="7.525 0.000 0.000 0.000 5.228 0.000 -1.160 0.000 7.266" Properties=species:S:1:pos:R:3 pbc="T T T"
Tm 0.645 1.127 2.843
Tm 0.065 1.487 6.476
Tm 6.300 3.741 0.790
Tm 5.720 4.101 4.423
Ru 2.340 3.818 1.435
Ru 1.760 4.024 5.068
Ru 4.605 1.204 2.198
Ru 4.025 1.410 5.831
O 0.626 2.681 1.257
O 0.046 5.160 4.890
O 1.227 0.052 0.883
O 0.647 2.562 4.515
O 1.404 3.280 6.851
O 1.984 4.562 3.218
O 2.327 0.544 5.886
O 2.907 2.070 2.253
O 3.457 3.158 5.013
O 4.037 4.684 1.380
O 4.381 0.666 4.048
O 4.961 1.948 0.415
O 5.718 2.666 2.750
O 5.138 5.175 6.383
O 6.319 0.067 2.376
O 5.739 2.547 6.009
```

Most intense lines, 2θ from 5° to 70°, sorted by position:
d [Å]  I/Imax  h k l
3.078  14  1 0 2
3.028  100  2 1 0
2.983  74  0 1 2
2.901  29  1 1 -2
2.830  17  2 0 -2
2.614  24  0 2 0
2.414  14  2 0 2
1.920  16  2 2 -2
1.774  22  2 2 2
1.620  15  1 1 4

---

[2]
YTmRuO6: computed X-ray powder pattern (Cu Ka), based on DFT lattice parameters and positions (GGA-PBE).

Crystal structure
```
18
Lattice="5.430 0.000 0.000 -2.715 4.702 0.000 0.000 0.000 9.548" Properties=species:S:1:pos:R:3 pbc="T T T"
Y 0.000 0.000 0.000
Y 0.000 0.000 4.774
Tm 0.000 3.135 2.387
Tm 2.715 1.567 7.161
Ru 0.000 3.135 7.161
Ru 2.715 1.567 2.387
O -0.797 1.735 6.065
O -1.611 3.145 8.256
O 0.797 1.735 8.256
O -0.814 4.525 6.065
O 1.901 0.177 1.291
O 1.104 1.558 3.482
O 1.611 3.145 6.065
O 0.814 4.525 8.256
O 3.529 0.177 3.482
O 1.918 2.967 1.291
O 4.326 1.558 1.291
O 3.512 2.967 3.482
```

Most intense lines, 2θ from 5° to 70°, sorted by position:
d [Å]  I/Imax  h k l
4.774  28  0 0 2
3.350  100  1 0 2
2.715  54  1 1 0
2.387  9  0 0 4
2.360  27  1 1 2
2.109  27  2 0 2
1.793  52  1 1 4
1.666  26  2 1 2
1.567  19  3 0 0
1.507  9  1 0 6